Record 1
Simulated powder diffraction line list
Compound: RbAc2Sn3Au6
Radiation: Cu Ka
Structure: a cell relaxed with GGA-PBE
Intensities are scaled so that the largest is 100.

Peak list (10 most intense, 10° ≤ 2θ ≤ 80°, in order of rising 2θ)
2θ = 11.3°, I 100; 2θ = 28.0°, I 26; 2θ = 29.7°, I 41; 2θ = 32.4°, I 79; 2θ = 34.6°, I 57; 2θ = 35.8°, I 57; 2θ = 39.1°, I 91; 2θ = 39.9°, I 41; 2θ = 53.2°, I 34; 2θ = 56.5°, I 37

Cell and atoms:
abc: 4.6054 4.6054 15.6826
angles: 90.00 90.00 90.00
Element x y z (fractional)
Rb (0.0000, 0.0000, 0.0000)
Ac (0.0000, 0.0000, 0.3708)
Ac (0.0000, 0.0000, 0.6292)
Sn (0.5000, 0.5000, 0.1134)
Sn (0.5000, 0.5000, 0.5000)
Sn (0.5000, 0.5000, 0.8866)
Au (0.0000, 0.5000, 0.2126)
Au (0.0000, 0.5000, 0.7874)
Au (0.5000, 0.0000, 0.2126)
Au (0.5000, 0.0000, 0.7874)
Au (0.5000, 0.5000, 0.3234)
Au (0.5000, 0.5000, 0.6766)

---

Record 2
Simulated powder diffraction line list
Compound: Ac3Rh8Au
Radiation: Cu Ka
Structure: a cell relaxed with GGA-PBE
Intensities are scaled so that the largest is 100.

Peak list (10 most intense, 10° ≤ 2θ ≤ 80°, in order of rising 2θ)
2θ = 19.8°, I 5; 2θ = 29.9°, I 5; 2θ = 32.6°, I 54; 2θ = 38.4°, I 100; 2θ = 40.2°, I 21; 2θ = 58.2°, I 19; 2θ = 61.8°, I 5; 2θ = 62.1°, I 30; 2θ = 68.3°, I 23; 2θ = 77.8°, I 7

Cell and atoms:
abc: 9.5062 9.5062 9.5062
angles: 33.59 33.59 33.59
Element x y z (fractional)
Ac (0.0000, 0.0000, 0.0000)
Ac (0.1304, 0.1304, 0.1304)
Ac (0.6132, 0.6132, 0.6132)
Rh (0.0603, 0.0603, 0.5612)
Rh (0.0603, 0.5612, 0.0603)
Rh (0.0618, 0.5633, 0.5633)
Rh (0.3121, 0.3121, 0.3121)
Rh (0.5612, 0.0603, 0.0603)
Rh (0.5633, 0.0618, 0.5633)
Rh (0.5633, 0.5633, 0.0618)
Rh (0.8122, 0.8122, 0.8122)
Au (0.4891, 0.4891, 0.4891)

---

Record 3
Simulated powder diffraction line list
Compound: Ac2Rh2Au3
Radiation: Cu Ka
Structure: a cell relaxed with GGA-PBE
Intensities are scaled so that the largest is 100.

Peak list (10 most intense, 10° ≤ 2θ ≤ 80°, in order of rising 2θ)
2θ = 32.1°, I 16; 2θ = 32.6°, I 100; 2θ = 33.6°, I 65; 2θ = 37.1°, I 67; 2θ = 40.5°, I 30; 2θ = 42.0°, I 37; 2θ = 43.4°, I 15; 2θ = 59.8°, I 19; 2θ = 67.5°, I 19; 2θ = 73.5°, I 19

Cell and atoms:
abc: 5.5750 5.5750 7.3184
angles: 96.88 96.88 45.36
Element x y z (fractional)
Ac (0.1244, 0.1244, 0.3215)
Ac (0.8756, 0.8756, 0.6785)
Rh (0.4145, 0.4145, 0.3479)
Rh (0.5855, 0.5855, 0.6521)
Au (0.1889, 0.1889, 0.8828)
Au (0.5000, 0.5000, 0.0000)
Au (0.8111, 0.8111, 0.1172)

---

Record 4
Simulated powder diffraction line list
Compound: Ac5Rh2Au
Radiation: Cu Ka
Structure: a cell relaxed with GGA-PBE
Intensities are scaled so that the largest is 100.

Peak list (10 most intense, 10° ≤ 2θ ≤ 80°, in order of rising 2θ)
2θ = 28.6°, I 25; 2θ = 28.8°, I 25; 2θ = 30.1°, I 72; 2θ = 30.3°, I 72; 2θ = 30.4°, I 26; 2θ = 32.6°, I 34; 2θ = 34.1°, I 100; 2θ = 49.0°, I 24; 2θ = 49.7°, I 21; 2θ = 52.8°, I 19

Cell and atoms:
abc: 9.3559 9.3559 8.3105
angles: 115.73 115.73 52.69
Element x y z (fractional)
Ac (0.0000, 0.5000, 0.0000)
Ac (0.0283, 0.2000, 0.2024)
Ac (0.2000, 0.0283, 0.7024)
Ac (0.2972, 0.4735, 0.4704)
Ac (0.4735, 0.2972, 0.9704)
Ac (0.5000, 0.0000, 0.5000)
Ac (0.5265, 0.7028, 0.0296)
Ac (0.7028, 0.5265, 0.5296)
Ac (0.8000, 0.9717, 0.2976)
Ac (0.9717, 0.8000, 0.7976)
Rh (0.1383, 0.3610, 0.6381)
Rh (0.3610, 0.1383, 0.1381)
Rh (0.6390, 0.8617, 0.8619)
Rh (0.8617, 0.6390, 0.3619)
Au (0.2506, 0.7494, 0.2500)
Au (0.7494, 0.2506, 0.7500)

---

Record 5
Simulated powder diffraction line list
Compound: Ac6RhAu3
Radiation: Cu Ka
Structure: a cell relaxed with GGA-PBE
Intensities are scaled so that the largest is 100.

Peak list (10 most intense, 10° ≤ 2θ ≤ 80°, in order of rising 2θ)
2θ = 25.6°, I 91; 2θ = 25.7°, I 54; 2θ = 26.2°, I 60; 2θ = 27.2°, I 65; 2θ = 27.5°, I 86; 2θ = 28.9°, I 83; 2θ = 29.3°, I 100; 2θ = 34.9°, I 70; 2θ = 39.2°, I 61; 2θ = 45.9°, I 65

Cell and atoms:
abc: 7.6646 8.1829 13.1763
angles: 90.00 121.06 90.00
Element x y z (fractional)
Ac (0.0827, 0.0520, 0.2456)
Ac (0.0827, 0.4480, 0.7456)
Ac (0.2335, 0.6846, 0.0818)
Ac (0.2335, 0.8154, 0.5818)
Ac (0.3767, 0.1753, 0.0682)
Ac (0.3767, 0.3247, 0.5682)
Ac (0.6233, 0.6753, 0.4318)
Ac (0.6233, 0.8247, 0.9318)
Ac (0.7665, 0.1846, 0.4182)
Ac (0.7665, 0.3154, 0.9182)
Ac (0.9173, 0.5520, 0.2544)
Ac (0.9173, 0.9480, 0.7544)
Rh (0.0000, 0.0000, 0.0000)
Rh (0.0000, 0.5000, 0.5000)
Au (0.3246, 0.1139, 0.7719)
Au (0.3246, 0.3861, 0.2719)
Au (0.5000, 0.0000, 0.5000)
Au (0.5000, 0.5000, 0.0000)
Au (0.6754, 0.6139, 0.7281)
Au (0.6754, 0.8861, 0.2281)

---

Record 6
Simulated powder diffraction line list
Compound: Ac5Rh4Au
Radiation: Cu Ka
Structure: a cell relaxed with GGA-PBE
Intensities are scaled so that the largest is 100.

Peak list (10 most intense, 10° ≤ 2θ ≤ 80°, in order of rising 2θ)
2θ = 29.1°, I 100; 2θ = 41.4°, I 12; 2θ = 41.7°, I 51; 2θ = 42.1°, I 13; 2θ = 51.4°, I 12; 2θ = 52.0°, I 14; 2θ = 60.5°, I 8; 2θ = 68.4°, I 12; 2θ = 68.5°, I 11; 2θ = 76.6°, I 9

Cell and atoms:
abc: 11.5336 11.5336 11.5336
angles: 158.53 149.13 37.91
Element x y z (fractional)
Ac (0.0000, 0.0000, 0.0000)
Ac (0.1973, 0.1973, 0.0000)
Ac (0.3887, 0.3887, 0.0000)
Ac (0.6113, 0.6113, 0.0000)
Ac (0.8027, 0.8027, 0.0000)
Rh (0.0963, 0.5963, 0.5000)
Rh (0.2960, 0.7960, 0.5000)
Rh (0.7040, 0.2040, 0.5000)
Rh (0.9037, 0.4037, 0.5000)
Au (0.5000, 0.0000, 0.5000)